Record 1
Starting from a structure optimized by DFT (GGA-PBE), the powder diffraction line list of MnInSeS was calculated for Cu Kα (weighted mean of Kα1 and Kα2).
Peak positions follow from Bragg's law for the DFT cell and can differ from measured ones.

The 8 most intense peaks (2θ = 15–90°), most intense first:
27.27 deg, I 100, (1 1 -1); 25.24 deg, I 44, (2 0 0); 44.55 deg, I 42, (1 1 -3); 25.52 deg, I 25, (0 0 2); 44.22 deg, I 25, (3 1 -1); 34.41 deg, I 22, (1 1 -2); 39.65 deg, I 20, (2 0 2); 44.65 deg, I 20, (0 2 0)

Atomic structure:
a = 7.1939 Å, b = 4.0593 Å, c = 7.1132 Å
α = 90.00°, β = 101.07°, γ = 90.00°
Space group Cm (No. 8)
Inequivalent atoms, fractional coordinates:
Mn: 0.0000 0.0000 0.0000 (multiplicity 2)
In: 0.4391 0.0000 0.5597 (multiplicity 2)
Se: 0.0663 0.0000 0.3573 (multiplicity 2)
S: 0.1593 0.5000 0.9217 (multiplicity 2)

Record 2
Starting from a structure optimized by DFT (GGA-PBE), the powder diffraction line list of NdHo4Bi2 was calculated for Cu Kα (weighted mean of Kα1 and Kα2).
Peak positions follow from Bragg's law for the DFT cell and can differ from measured ones.

The 8 most intense peaks (2θ = 15–90°), most intense first:
30.14 deg, I 100, (1 0 -3); 30.42 deg, I 86, (2 0 1); 34.19 deg, I 52, (3 0 -2); 29.99 deg, I 48, (1 2 -1); 33.46 deg, I 45, (1 2 1); 35.28 deg, I 34, (2 2 -1); 35.09 deg, I 32, (0 2 2); 27.14 deg, I 29, (0 2 0)

Atomic structure:
a = 8.0521 Å, b = 6.5718 Å, c = 8.9029 Å
α = 90.00°, β = 113.85°, γ = 90.00°
Space group P2_1/m (No. 11)
Inequivalent atoms, fractional coordinates:
Nd: 0.1016 0.2500 0.3588 (multiplicity 2)
Ho: 0.1962 0.7500 0.0799 (multiplicity 2)
Ho: 0.3415 0.0047 0.7877 (multiplicity 4)
Ho: 0.4607 0.7500 0.5068 (multiplicity 2)
Bi: 0.0474 0.7500 0.3627 (multiplicity 2)
Bi: 0.2703 0.2500 0.0843 (multiplicity 2)

Record 3
Starting from a structure optimized by DFT (GGA-PBE), the powder diffraction line list of Zn4GaNi15 was calculated for Cu Kα (weighted mean of Kα1 and Kα2).
Peak positions follow from Bragg's law for the DFT cell and can differ from measured ones.

The 5 most intense peaks (2θ = 15–90°), most intense first:
43.78 deg, I 100, (1 1 5); 51.08 deg, I 31, (2 0 0); 74.95 deg, I 18, (2 0 10); 50.84 deg, I 16, (0 0 10); 75.14 deg, I 9, (2 2 0)

Atomic structure:
a = 3.5760 Å, b = 3.5760 Å, c = 17.9607 Å
α = 90.00°, β = 90.00°, γ = 90.00°
Space group P4/mmm (No. 123)
Inequivalent atoms, fractional coordinates:
Zn: 0.0000 0.0000 0.0999 (multiplicity 2)
Zn: 0.0000 0.0000 0.2998 (multiplicity 2)
Ga: 0.0000 0.0000 0.5000 (multiplicity 1)
Ni: 0.0000 0.5000 0.0000 (multiplicity 2)
Ni: 0.0000 0.5000 0.1999 (multiplicity 4)
Ni: 0.0000 0.5000 0.4002 (multiplicity 4)
Ni: 0.5000 0.5000 0.1000 (multiplicity 2)
Ni: 0.5000 0.5000 0.3001 (multiplicity 2)
Ni: 0.5000 0.5000 0.5000 (multiplicity 1)

Record 4
Starting from a structure optimized by DFT (GGA-PBE), the powder diffraction line list of LiH6IO7 was calculated for Cu Kα (weighted mean of Kα1 and Kα2).
Peak positions follow from Bragg's law for the DFT cell and can differ from measured ones.

The 8 most intense peaks (2θ = 15–90°), most intense first:
18.27 deg, I 100, (1 -1 0); 21.10 deg, I 80, (1 0 1); 21.89 deg, I 70, (0 1 -2); 19.16 deg, I 69, (0 0 2); 17.43 deg, I 60, (0 1 0); 18.15 deg, I 49, (1 0 -1); 22.23 deg, I 46, (0 1 1); 23.47 deg, I 35, (1 0 -2)

Atomic structure:
a = 5.7684 Å, b = 5.8477 Å, c = 9.6918 Å
α = 103.93°, β = 93.04°, γ = 114.61°
Space group P-1 (No. 2)
Inequivalent atoms, fractional coordinates:
Li: 0.2477 0.2703 0.4868 (multiplicity 2)
H: 0.0393 0.7991 0.9329 (multiplicity 2)
H: 0.1849 0.5493 0.7701 (multiplicity 2)
H: 0.2877 0.9388 0.2154 (multiplicity 2)
H: 0.2924 0.7453 0.5163 (multiplicity 2)
H: 0.3473 0.6472 0.3596 (multiplicity 2)
H: 0.3735 0.5868 0.0896 (multiplicity 2)
I: 0.1666 0.1152 0.7861 (multiplicity 2)
O: 0.1590 0.9337 0.6031 (multiplicity 2)
O: 0.1609 0.8306 0.8596 (multiplicity 2)
O: 0.1685 0.3129 0.9656 (multiplicity 2)
O: 0.1848 0.3913 0.7008 (multiplicity 2)
O: 0.2115 0.0595 0.2582 (multiplicity 2)
O: 0.3624 0.6316 0.4579 (multiplicity 2)
O: 0.4513 0.7379 0.1817 (multiplicity 2)

Record 5
Starting from a structure optimized by DFT (GGA-PBE), the powder diffraction line list of Na8B13C3 was calculated for Cu Kα (weighted mean of Kα1 and Kα2).
Peak positions follow from Bragg's law for the DFT cell and can differ from measured ones.

The 8 most intense peaks (2θ = 15–90°), most intense first:
41.96 deg, I 100, (1 8 1); 39.74 deg, I 50, (0 8 2); 41.60 deg, I 38, (0 16 0); 61.92 deg, I 19, (1 0 3); 77.38 deg, I 18, (1 16 3); 36.23 deg, I 16, (1 0 1); 33.69 deg, I 14, (0 0 2); 76.16 deg, I 13, (1 24 1)

Atomic structure:
a = 2.8021 Å, b = 34.7351 Å, c = 5.3207 Å
α = 90.00°, β = 90.00°, γ = 90.00°
Space group Imm2 (No. 44)
Inequivalent atoms, fractional coordinates:
Na: 0.0000 0.0618 0.0000 (multiplicity 4)
Na: 0.0000 0.1873 0.0012 (multiplicity 4)
Na: 0.0000 0.3130 0.0016 (multiplicity 4)
Na: 0.0000 0.4374 0.0037 (multiplicity 4)
B: 0.0000 0.0000 0.3666 (multiplicity 2)
B: 0.0000 0.1246 0.3505 (multiplicity 4)
B: 0.0000 0.1245 0.6836 (multiplicity 4)
B: 0.0000 0.2493 0.6560 (multiplicity 4)
B: 0.0000 0.2506 0.3466 (multiplicity 4)
B: 0.0000 0.3755 0.6369 (multiplicity 4)
B: 0.0000 0.5000 0.3206 (multiplicity 2)
B: 0.0000 0.5000 0.6523 (multiplicity 2)
C: 0.0000 0.0000 0.6634 (multiplicity 2)
C: 0.0000 0.3756 0.3400 (multiplicity 4)

Record 6
Starting from a structure optimized by DFT (GGA-PBE), the powder diffraction line list of Br was calculated for Cu Kα (weighted mean of Kα1 and Kα2).
Peak positions follow from Bragg's law for the DFT cell and can differ from measured ones.

The 8 most intense peaks (2θ = 15–90°), most intense first:
21.46 deg, I 100, (1 0 1); 41.40 deg, I 36, (1 2 -1); 20.38 deg, I 31, (0 1 1); 24.50 deg, I 28, (1 1 1); 31.01 deg, I 27, (0 1 -2); 32.25 deg, I 26, (-1 1 1); 23.91 deg, I 22, (1 1 0); 22.13 deg, I 21, (0 1 -1)

Atomic structure:
a = 4.6324 Å, b = 5.1736 Å, c = 7.6395 Å
α = 82.90°, β = 79.48°, γ = 77.68°
Space group P-1 (No. 2)
Inequivalent atoms, fractional coordinates:
Br: 0.0000 0.0000 0.0000 (multiplicity 1)
Br: 0.1841 0.3061 0.7323 (multiplicity 2)
Br: 0.5000 0.0000 0.5000 (multiplicity 1)

Record 7
Starting from a structure optimized by DFT (GGA-PBE), the powder diffraction line list of Nd10Dy6Th was calculated for Cu Kα (weighted mean of Kα1 and Kα2).
Peak positions follow from Bragg's law for the DFT cell and can differ from measured ones.

The 8 most intense peaks (2θ = 15–90°), most intense first:
31.42 deg, I 100, (1 1 2); 31.53 deg, I 80, (3 0 0); 30.59 deg, I 36, (3 -1 1); 56.09 deg, I 28, (4 1 2); 45.11 deg, I 28, (4 -2 2); 55.86 deg, I 19, (2 -1 4); 48.39 deg, I 13, (3 2 1); 24.49 deg, I 11, (2 0 1)

Atomic structure:
a = 9.8299 Å, b = 9.8299 Å, c = 6.9868 Å
α = 90.00°, β = 90.00°, γ = 120.00°
Space group P-31m (No. 162)
Inequivalent atoms, fractional coordinates:
Nd: 0.0000 0.2768 0.3201 (multiplicity 6)
Nd: 0.3333 0.6667 0.0000 (multiplicity 2)
Nd: 0.3333 0.6667 0.5000 (multiplicity 2)
Dy: 0.0000 0.3659 0.8138 (multiplicity 6)
Th: 0.0000 0.0000 0.0000 (multiplicity 1)

Record 8
Starting from a structure optimized by DFT (GGA-PBE), the powder diffraction line list of Pr4HCSe2 was calculated for Cu Kα (weighted mean of Kα1 and Kα2).
Peak positions follow from Bragg's law for the DFT cell and can differ from measured ones.

The 8 most intense peaks (2θ = 15–90°), most intense first:
30.99 deg, I 100, (1 1 1); 31.67 deg, I 45, (2 0 -2); 27.22 deg, I 40, (1 1 -1); 45.47 deg, I 34, (3 1 -1); 44.33 deg, I 29, (1 1 -3); 26.26 deg, I 26, (0 0 2); 34.10 deg, I 21, (1 1 -2); 27.12 deg, I 20, (2 0 0)

Atomic structure:
a = 6.8952 Å, b = 4.0199 Å, c = 7.1263 Å
α = 90.00°, β = 107.51°, γ = 90.00°
Space group P2/m (No. 10)
Inequivalent atoms, fractional coordinates:
Pr: 0.2284 0.0000 0.2055 (multiplicity 2)
Pr: 0.2355 0.5000 0.7732 (multiplicity 2)
H: 0.5000 0.0000 0.0000 (multiplicity 1)
C: 0.0000 0.5000 0.0000 (multiplicity 1)
Se: 0.0000 0.0000 0.5000 (multiplicity 1)
Se: 0.5000 0.5000 0.5000 (multiplicity 1)